# 1
# Pr4Re3N12
Calculated XRD peak list, Cu Kα. Input: a crystal structure in Alexandria, relaxed with GGA-PBE.
Neutral-atom scattering factors, no anomalous dispersion.

The 6 most intense peaks (2θ = 15–90°), in order of rising 2θ:
2theta  I (rel.)
28.96  100
41.41  19
51.32  46
60.01  13
67.98  19
82.83  21

Atomic structure:
Cell: 7.5528 7.5528 7.5528 Å, 109.47 109.47 109.47°
Sites, in units of the cell vectors:
Pr (0.0000, 0.0000, 0.5000)
Pr (0.0000, 0.5000, 0.0000)
Pr (0.5000, 0.0000, 0.0000)
Pr (0.5000, 0.5000, 0.5000)
Re (0.0000, 0.5000, 0.5000)
Re (0.5000, 0.0000, 0.5000)
Re (0.5000, 0.5000, 0.0000)
N (0.1474, 0.3407, 0.4881)
N (0.1474, 0.6593, 0.8067)
N (0.1933, 0.8526, 0.3407)
N (0.3407, 0.1933, 0.8526)
N (0.3407, 0.4881, 0.1474)
N (0.4881, 0.1474, 0.3407)
N (0.5119, 0.8526, 0.6593)
N (0.6593, 0.5119, 0.8526)
N (0.6593, 0.8067, 0.1474)
N (0.8067, 0.1474, 0.6593)
N (0.8526, 0.3407, 0.1933)
N (0.8526, 0.6593, 0.5119)

---

# 2
# AcDyAlCd
Calculated XRD peak list, Cu Kα. Input: a crystal structure in Alexandria, relaxed with GGA-PBE.
Neutral-atom scattering factors, no anomalous dispersion.

The 6 most intense peaks (2θ = 15–90°), in order of rising 2θ:
2theta  I (rel.)
22.99  25
32.74  100
46.97  18
58.43  38
68.61  12
78.12  16

Atomic structure:
Cell: 7.7377 7.7377 7.7377 Å, 90.00 90.00 90.00°
Sites, in units of the cell vectors:
Ac (0.0000, 0.0000, 0.0000)
Ac (0.0000, 0.5000, 0.5000)
Ac (0.5000, 0.0000, 0.5000)
Ac (0.5000, 0.5000, 0.0000)
Dy (0.0000, 0.0000, 0.5000)
Dy (0.0000, 0.5000, 0.0000)
Dy (0.5000, 0.0000, 0.0000)
Dy (0.5000, 0.5000, 0.5000)
Al (0.2500, 0.2500, 0.2500)
Al (0.2500, 0.7500, 0.7500)
Al (0.7500, 0.2500, 0.7500)
Al (0.7500, 0.7500, 0.2500)
Cd (0.2500, 0.2500, 0.7500)
Cd (0.2500, 0.7500, 0.2500)
Cd (0.7500, 0.2500, 0.2500)
Cd (0.7500, 0.7500, 0.7500)

---

# 3
# Pm2Fe5Si4
Calculated XRD peak list, Cu Kα. Input: a crystal structure in Alexandria, relaxed with GGA-PBE.
Neutral-atom scattering factors, no anomalous dispersion.

The 6 most intense peaks (2θ = 15–90°), in order of rising 2θ:
2theta  I (rel.)
27.93  71
33.53  100
37.92  81
38.09  32
39.01  73
43.21  59

Atomic structure:
Cell: 8.0190 7.0359 5.4640 Å, 78.71 59.36 41.93°
Sites, in units of the cell vectors:
Pm (0.1344, 0.1344, 0.8656)
Pm (0.8656, 0.8656, 0.1344)
Fe (0.0000, 0.0000, 0.5000)
Fe (0.2500, 0.2500, 0.2500)
Fe (0.5000, 0.5000, 0.0000)
Fe (0.5000, 0.5000, 0.5000)
Fe (0.7500, 0.7500, 0.7500)
Si (0.2160, 0.5157, 0.4843)
Si (0.4843, 0.7840, 0.2160)
Si (0.5157, 0.2160, 0.7840)
Si (0.7840, 0.4843, 0.5157)

---

# 4
# TbInCu4
Calculated XRD peak list, Cu Kα. Input: a crystal structure in Alexandria, relaxed with GGA-PBE.
Neutral-atom scattering factors, no anomalous dispersion.

The 6 most intense peaks (2θ = 15–90°), in order of rising 2θ:
2theta  I (rel.)
34.92  54
41.20  100
43.12  20
62.63  19
66.90  30
73.76  23

Atomic structure:
Cell: 5.1385 5.1385 5.1385 Å, 60.00 60.00 60.00°
Sites, in units of the cell vectors:
Tb (0.0000, 0.0000, 0.0000)
In (0.2500, 0.2500, 0.2500)
Cu (0.1262, 0.6246, 0.6246)
Cu (0.6246, 0.1262, 0.6246)
Cu (0.6246, 0.6246, 0.1262)
Cu (0.6246, 0.6246, 0.6246)

---

# 5
# Mg6MnPt5
Calculated XRD peak list, Cu Kα. Input: a crystal structure in Alexandria, relaxed with GGA-PBE.
Neutral-atom scattering factors, no anomalous dispersion.

The 6 most intense peaks (2θ = 15–90°), in order of rising 2θ:
2theta  I (rel.)
24.58  47
29.96  54
39.13  100
42.89  38
68.27  19
76.04  25

Atomic structure:
Cell: 7.5848 7.5848 7.5848 Å, 147.69 122.96 67.10°
Sites, in units of the cell vectors:
Mg (0.0684, 0.3296, 0.7388)
Mg (0.2301, 0.0000, 0.2301)
Mg (0.4091, 0.6704, 0.7388)
Mg (0.5909, 0.3296, 0.2612)
Mg (0.7699, 0.0000, 0.7699)
Mg (0.9316, 0.6704, 0.2612)
Mn (0.5000, 0.5000, 0.0000)
Pt (0.0000, 0.5000, 0.5000)
Pt (0.1740, 0.1740, 0.0000)
Pt (0.3483, 0.8483, 0.5000)
Pt (0.6517, 0.1517, 0.5000)
Pt (0.8260, 0.8260, 0.0000)